1.
This entry pairs a crystal structure of LaTb2Y12 with its simulated powder diffractogram. Radiation: λ = 1.5418 Å (Cu Kα). Structure: a cell relaxed with GGA-PBE.

Cell and atoms:
abc: 7.0834 11.4129 24.9762
angles: 90.00 90.00 90.00
Space group Cmme (No. 67)
Inequivalent atoms, fractional coordinates:
La: 0.0000 0.2500 0.0065 (multiplicity 4)
Tb: 0.0000 0.2500 0.2717 (multiplicity 4)
Tb: 0.0000 0.2500 0.7329 (multiplicity 4)
Y: 0.0000 0.0095 0.9200 (multiplicity 8)
Y: 0.0000 0.0132 0.4392 (multiplicity 8)
Y: 0.2400 0.2500 0.5858 (multiplicity 8)
Y: 0.2472 0.2500 0.1333 (multiplicity 8)
Y: 0.2500 0.0000 0.2015 (multiplicity 8)
Y: 0.2500 0.0000 0.3277 (multiplicity 8)

Peak list (12 most intense, 5 to 70 degrees two-theta, low angle first)
- 2θ = 28.98°, intensity 41.2
- 2θ = 29.53°, intensity 79.9
- 2θ = 30.56°, intensity 93.3
- 2θ = 31.35°, intensity 100.0
- 2θ = 31.61°, intensity 39.6
- 2θ = 32.70°, intensity 71.1
- 2θ = 33.04°, intensity 84.6
- 2θ = 36.86°, intensity 32.6
- 2θ = 43.22°, intensity 27.7
- 2θ = 47.57°, intensity 32.3
- 2θ = 58.08°, intensity 34.6
- 2θ = 61.65°, intensity 28.4

=====

2.
This entry pairs a crystal structure of La3Tb8Y3 with its simulated powder diffractogram. Radiation: λ = 1.5418 Å (Cu Kα). Structure: a cell relaxed with GGA-PBE.

Cell and atoms:
abc: 5.7286 10.8982 15.2023
angles: 90.00 90.00 90.00
Space group Immm (No. 71)
Inequivalent atoms, fractional coordinates:
La: 0.0000 0.0000 0.0000 (multiplicity 2)
La: 0.0000 0.5000 0.3148 (multiplicity 4)
Tb: 0.0000 0.1614 0.2800 (multiplicity 8)
Tb: 0.0000 0.3411 0.1019 (multiplicity 8)
Y: 0.0000 0.0000 0.5000 (multiplicity 2)
Y: 0.0000 0.2982 0.5000 (multiplicity 4)

Peak list (12 most intense, 5 to 70 degrees two-theta, low angle first)
- 2θ = 25.21°, intensity 19.7
- 2θ = 29.37°, intensity 35.2
- 2θ = 30.27°, intensity 25.9
- 2θ = 31.23°, intensity 55.1
- 2θ = 31.45°, intensity 100.0
- 2θ = 33.36°, intensity 57.4
- 2θ = 37.68°, intensity 12.4
- 2θ = 44.05°, intensity 18.5
- 2θ = 55.71°, intensity 19.7
- 2θ = 56.97°, intensity 19.8
- 2θ = 60.36°, intensity 17.8
- 2θ = 61.64°, intensity 16.9

=====

3.
This entry pairs a crystal structure of La7TbY4 with its simulated powder diffractogram. Radiation: λ = 1.5418 Å (Cu Kα). Structure: a cell relaxed with GGA-PBE.

Cell and atoms:
abc: 6.4317 7.3707 9.1256
angles: 89.97 76.45 89.91
Space group P-1 (No. 2)
Inequivalent atoms, fractional coordinates:
La: 0.0000 0.0000 0.0000 (multiplicity 1)
La: 0.2236 0.0004 0.3330 (multiplicity 2)
La: 0.2788 0.2501 0.6664 (multiplicity 2)
La: 0.4980 0.2541 0.0010 (multiplicity 2)
Tb: 0.0000 0.5000 0.0000 (multiplicity 1)
Y: 0.2171 0.4996 0.3344 (multiplicity 2)
Y: 0.2777 0.7426 0.6688 (multiplicity 2)

Peak list (12 most intense, 5 to 70 degrees two-theta, low angle first)
- 2θ = 27.95°, intensity 20.8
- 2θ = 28.11°, intensity 42.9
- 2θ = 30.22°, intensity 72.9
- 2θ = 30.89°, intensity 51.1
- 2θ = 31.03°, intensity 100.0
- 2θ = 32.52°, intensity 44.3
- 2θ = 32.67°, intensity 86.6
- 2θ = 44.24°, intensity 18.2
- 2θ = 49.17°, intensity 37.2
- 2θ = 53.09°, intensity 32.9
- 2θ = 58.80°, intensity 43.2
- 2θ = 59.08°, intensity 28.9

=====

4.
This entry pairs a crystal structure of La3Tb4Y4 with its simulated powder diffractogram. Radiation: λ = 1.5418 Å (Cu Kα). Structure: a cell relaxed with GGA-PBE.

Cell and atoms:
abc: 3.6368 9.5410 21.7969
angles: 90.00 90.00 90.00
Space group Immm (No. 71)
Inequivalent atoms, fractional coordinates:
La: 0.0000 0.0000 0.0000 (multiplicity 2)
La: 0.0000 0.5000 0.1091 (multiplicity 4)
Tb: 0.0000 0.0000 0.2589 (multiplicity 4)
Tb: 0.0000 0.1843 0.5000 (multiplicity 4)
Y: 0.0000 0.3218 0.3517 (multiplicity 8)

Peak list (12 most intense, 5 to 70 degrees two-theta, low angle first)
- 2θ = 20.32°, intensity 8.8
- 2θ = 30.69°, intensity 40.0
- 2θ = 31.00°, intensity 100.0
- 2θ = 31.20°, intensity 39.2
- 2θ = 32.05°, intensity 10.2
- 2θ = 32.87°, intensity 21.0
- 2θ = 34.92°, intensity 12.4
- 2θ = 38.50°, intensity 19.2
- 2θ = 42.67°, intensity 18.2
- 2θ = 50.18°, intensity 13.5
- 2θ = 57.10°, intensity 37.5
- 2θ = 59.97°, intensity 11.6

=====

Question: Which formula does entry 1 have?
Answer: LaTb2Y12